Structure and theoretical X-ray powder pattern of Li4Co7O3F13 (DFT lattice parameters and positions (PBE+U); a wavelength of 1.5418 Å).
Intensities are scaled so that the largest is 100.

Structural model:
Unit cell a=5.9624 b=6.0703 c=10.4953 alpha=92.13 beta=104.17 gamma=118.49
Positions (direct):
Li: 0.0000 0.0000 0.0000
Li: 0.0039 0.5184 0.4987
Li: 0.2233 0.1563 0.3819
Li: 0.2499 0.6733 0.8808
Co: 0.1033 0.5876 0.1907
Co: 0.1264 0.0969 0.6916
Co: 0.6281 0.8600 0.4424
Co: 0.6289 0.5933 0.6899
Co: 0.6352 0.3432 0.9389
Co: 0.6434 0.0928 0.2013
Co: 0.6819 0.6110 0.2036
O: 0.8328 0.9401 0.3110
O: 0.8501 0.6779 0.0691
O: 0.8528 0.4518 0.3030
F: 0.3581 0.9505 0.3154
F: 0.3694 0.9988 0.8221
F: 0.3745 0.2393 0.5758
F: 0.3738 0.4852 0.3018
F: 0.3782 0.4618 0.8143
F: 0.3784 0.7154 0.0804
F: 0.3944 0.6973 0.5588
F: 0.3996 0.2072 0.0715
F: 0.8656 0.4871 0.8167
F: 0.8750 0.2161 0.0636
F: 0.8775 0.9468 0.8063
F: 0.8800 0.7330 0.5690
F: 0.8878 0.2011 0.5663

Principal peaks in the range 10° ≤ 2θ ≤ 90°, sorted by position:
Position (°2θ)  Rel. int.  index
17.61  33  0 1 -1
17.73  65  0 0 2
18.39  100  -1 1 1
33.92  35  1 -1 3
34.49  20  1 1 -3
35.00  25  1 0 -4
41.63  48  2 -2 2
41.65  49  0 2 2
42.81  45  2 0 -4
59.57  15  2 0 4
60.14  30  0 2 -6
62.36  25  -2 2 6